Structure and calculated PXRD pattern of AcUMoO6 (DFT lattice parameters and positions (PBE+U); a wavelength of 1.5418 Å).
Neutral-atom scattering factors, no anomalous dispersion.

```
data_AcUMoO6
_chemical_formula_sum 'Ac2 U2 Mo2 O12'
_cell_length_a 5.9999
_cell_length_b 5.9999
_cell_length_c 8.6367
_cell_angle_alpha 90.00
_cell_angle_beta 90.00
_cell_angle_gamma 120.00
_space_group_name_H-M_alt 'P -3 1 c'
_space_group_IT_number 163
_space_group_name_Hall '-P 3 2c'
loop_
_atom_site_label
_atom_site_fract_x
_atom_site_fract_y
_atom_site_fract_z
Ac1 0.3333 0.6667 0.2500
U1 0.3333 0.6667 0.7500
Mo1 0.0000 0.0000 0.0000
O1 0.0549 0.3523 0.6214
```

Largest 8 diffraction maxima, sorted by position, 15° ≤ 2θ ≤ 90°:
h k l, d/Å, 2θ/deg, I/Imax
0 0 2, 4.318, 20.57, 35
1 0 2, 3.321, 26.84, 100
1 1 0, 3.000, 29.78, 92
1 1 2, 2.464, 36.47, 57
2 0 2, 2.226, 40.52, 34
3 -1 2, 1.788, 51.09, 35
2 -1 4, 1.752, 52.20, 54
3 0 0, 1.732, 52.86, 28